[1]
TbVIr2: simulated powder diffraction line list (Cu Kα (λ = 1.5418 Å)), based on a DFT-relaxed cell (GGA-PBE, Alexandria).

Crystal structure
Cell: 4.2315 4.2315 14.8605 Å, 90.00 90.00 120.00°
Space group R-3m (No. 166, hexagonal axes)
One atom of each set of equivalent atoms:
Tb1 0.0000 0.0000 0.0000
V1 0.0000 0.0000 0.5000
Ir1 0.0000 0.0000 0.2104

Largest 6 diffraction maxima, sorted by position, 2θ from 10° to 90°:
(1 0 1), 25.0°, rel. 47; (1 0 4), 34.4°, rel. 91; (0 1 5), 39.0°, rel. 82; (1 1 0), 42.7°, rel. 100; (2 0 5), 59.2°, rel. 25; (1 2 5), 75.8°, rel. 24


[2]
AlBiS3: simulated powder diffraction line list (Cu Kα (λ = 1.5418 Å)), based on a DFT-relaxed cell (GGA-PBE, Alexandria).

Crystal structure
Cell: 3.8987 23.3715 6.3458 Å, 90.00 90.00 90.00°
Space group Ama2 (No. 40)
One atom of each set of equivalent atoms:
Al1 0.2500 0.1259 0.0000
Bi1 0.2500 0.3291 0.0592
S1 0.2500 0.1090 0.3462
S2 0.2500 0.2137 0.8474
S3 0.2500 0.4146 0.3552

Largest 6 diffraction maxima, sorted by position, 2θ from 10° to 90°:
(0 4 0), 15.2°, rel. 46; (0 3 1), 18.0°, rel. 100; (1 1 1), 27.1°, rel. 88; (1 5 1), 33.1°, rel. 45; (0 9 1), 37.4°, rel. 53; (1 4 2), 39.7°, rel. 42


[3]
Zn7Ga2Pd2: simulated powder diffraction line list (Cu Kα (λ = 1.5418 Å)), based on a DFT-relaxed cell (GGA-PBE, Alexandria).

Crystal structure
Cell: 9.6014 8.7693 4.5721 Å, 90.00 116.62 90.00°
Space group C2/m (No. 12)
One atom of each set of equivalent atoms:
Zn1 0.0000 0.0000 0.0000
Zn2 0.1790 0.2304 0.1810
Zn3 0.1849 0.0000 0.6329
Ga1 0.0669 0.5000 0.8098
Pd1 0.0000 0.2354 0.5000

Largest 6 diffraction maxima, sorted by position, 2θ from 10° to 90°:
(3 1 -1), 30.8°, rel. 24; (2 0 -2), 39.4°, rel. 25; (0 4 0), 41.2°, rel. 50; (2 2 1), 42.1°, rel. 100; (3 3 -1), 42.6°, rel. 25; (4 2 -1), 43.1°, rel. 36


[4]
AcErTh2Bi4: simulated powder diffraction line list (Cu Kα (λ = 1.5418 Å)), based on a DFT-relaxed cell (GGA-PBE, Alexandria).

Crystal structure
Cell: 6.5617 6.5617 13.0825 Å, 90.00 90.00 90.00°
Space group I-4m2 (No. 119)
One atom of each set of equivalent atoms:
Ac1 0.0000 0.0000 0.0000
Er1 0.0000 0.5000 0.7500
Th1 0.0000 0.0000 0.5000
Th2 0.0000 0.5000 0.2500
Bi1 0.0000 0.0000 0.2550
Bi2 0.0000 0.5000 0.5035

Largest 6 diffraction maxima, sorted by position, 2θ from 10° to 90°:
(2 0 0), 27.2°, rel. 100; (2 2 0), 38.9°, rel. 79; (2 2 4), 48.1°, rel. 29; (4 2 0), 63.4°, rel. 26; (2 0 8), 63.6°, rel. 13; (4 2 4), 70.3°, rel. 19